No. 1
Diffraction record for Mg16Al12Cd. The powder diffraction line list is computed, not measured: it uses DFT lattice parameters and positions (GGA-PBE) and copper Kα.
Kinematic intensities with the Lorentz-polarization factor, no thermal factor.

Peak list (10 most intense, 2θ = 10–80°, sorted by position)
2θ/deg	I/Imax
11.9	38
20.7	15
36.1	62
36.2	100
40.2	18
40.3	16
42.1	14
43.9	17
65.1	15
65.2	15

abc: 9.098 9.098 9.114
angles: 109.39 109.39 109.25
Element x y z (fractional)
Mg  0.000  0.000  0.000
Mg  0.001  0.001  0.343
Mg  0.001  0.601  0.317
Mg  0.288  0.682  0.684
Mg  0.315  0.998  0.601
Mg  0.321  0.600  0.000
Mg  0.346  0.999  0.998
Mg  0.402  0.715  0.401
Mg  0.600  0.321  0.000
Mg  0.601  0.001  0.317
Mg  0.654  0.654  0.663
Mg  0.682  0.288  0.684
Mg  0.688  0.688  0.290
Mg  0.715  0.402  0.401
Mg  0.998  0.315  0.601
Mg  0.999  0.346  0.998
Al  0.000  0.815  0.635
Al  0.003  0.634  0.817
Al  0.180  0.366  0.361
Al  0.183  0.183  0.820
Al  0.189  0.820  0.187
Al  0.366  0.180  0.361
Al  0.367  0.367  0.180
Al  0.634  0.003  0.817
Al  0.638  0.821  0.005
Al  0.815  0.000  0.635
Al  0.820  0.189  0.187
Al  0.821  0.638  0.005
Cd  0.386  0.386  0.704

---

No. 2
Diffraction record for Mg6AlCd. The powder diffraction line list is computed, not measured: it uses DFT lattice parameters and positions (GGA-PBE) and copper Kα.
Kinematic intensities with the Lorentz-polarization factor, no thermal factor.

Peak list (10 most intense, 2θ = 10–80°, sorted by position)
2θ/deg	I/Imax
20.2	19
22.5	27
28.5	16
30.4	14
35.2	100
40.5	17
41.0	32
59.0	21
70.3	12
70.9	24

abc: 4.405 4.405 8.899
angles: 90.00 90.00 90.00
Element x y z (fractional)
Mg  0.000  0.000  0.000
Mg  0.000  0.000  0.500
Mg  0.000  0.500  0.244
Mg  0.000  0.500  0.756
Mg  0.500  0.000  0.244
Mg  0.500  0.000  0.756
Al  0.500  0.500  0.000
Cd  0.500  0.500  0.500